No. 1
Ag2Pd3Au: simulated X-ray diffraction stick pattern (Cu Kα (λ = 1.5418 Å)), based on a GGA-PBE-relaxed structure.
Intensities are scaled so that the largest is 100.

The 8 most intense peaks (2θ from 15° to 90°), in order of falling intensity:
2θ 38.40, rel. 100
2θ 38.67, rel. 98
2θ 44.52, rel. 33
2θ 44.69, rel. 32
2θ 45.17, rel. 32
2θ 65.29, rel. 31
2θ 65.43, rel. 20
2θ 77.71, rel. 12

Cell and atoms:
```
Ag2Pd3Au
1.0
5.7761 0.0000 0.0000
0.0000 4.0143 0.0000
-0.0315 0.0000 8.5743
Ag Pd Au
4 6 2
Direct
0.1228 0.2500 0.4169
0.3724 0.7500 0.9157
0.6276 0.2500 0.0843
0.8772 0.7500 0.5831
0.1186 0.2500 0.0826
0.1265 0.2500 0.7519
0.3767 0.7500 0.5838
0.6233 0.2500 0.4162
0.8735 0.7500 0.2481
0.8814 0.7500 0.9174
0.3729 0.7500 0.2513
0.6271 0.2500 0.7487
```

---

No. 2
PmAgPd2Au2: simulated X-ray diffraction stick pattern (Cu Kα (λ = 1.5418 Å)), based on a GGA-PBE-relaxed structure.
Intensities are scaled so that the largest is 100.

The 8 most intense peaks (2θ from 15° to 90°), in order of falling intensity:
2θ 34.74, rel. 100
2θ 36.43, rel. 60
2θ 40.84, rel. 50
2θ 37.97, rel. 39
2θ 38.48, rel. 34
2θ 46.66, rel. 32
2θ 31.33, rel. 18
2θ 45.77, rel. 17

Cell and atoms:
```
PmAgPd2Au2
1.0
5.7349 0.0000 0.0000
0.0000 5.5089 0.0000
-0.6926 0.0000 7.4034
Pm Ag Pd Au
2 2 4 4
Direct
0.1890 0.2500 0.3455
0.8110 0.7500 0.6545
0.4965 0.7500 0.2875
0.5035 0.2500 0.7125
0.0068 0.7500 0.3018
0.3014 0.7500 0.6223
0.6986 0.2500 0.3777
0.9932 0.2500 0.6982
0.2475 0.5041 0.9726
0.2475 0.9959 0.9726
0.7525 0.0041 0.0274
0.7525 0.4959 0.0274
```

---

No. 3
Pu4AgPdAu2: simulated X-ray diffraction stick pattern (Cu Kα (λ = 1.5418 Å)), based on a GGA-PBE-relaxed structure.
Intensities are scaled so that the largest is 100.

The 8 most intense peaks (2θ from 15° to 90°), in order of falling intensity:
2θ 34.88, rel. 100
2θ 35.24, rel. 88
2θ 62.78, rel. 34
2θ 50.42, rel. 32
2θ 62.54, rel. 19
2θ 84.37, rel. 15
2θ 63.47, rel. 12
2θ 73.65, rel. 12

Cell and atoms:
```
Pu4AgPdAu2
1.0
2.5723 1.4851 8.2774
-2.5723 1.4851 8.2774
0.0000 -2.9702 8.2774
Pu Ag Pd Au
4 1 1 2
Direct
0.1180 0.1180 0.1180
0.3686 0.3686 0.3686
0.6314 0.6314 0.6314
0.8820 0.8820 0.8820
0.5000 0.5000 0.5000
0.0000 0.0000 0.0000
0.2435 0.2435 0.2435
0.7565 0.7565 0.7565
```

---

No. 4
AgSn2Pd4Au2: simulated X-ray diffraction stick pattern (Cu Kα (λ = 1.5418 Å)), based on a GGA-PBE-relaxed structure.
Intensities are scaled so that the largest is 100.

The 8 most intense peaks (2θ from 15° to 90°), in order of falling intensity:
2θ 34.64, rel. 100
2θ 40.35, rel. 52
2θ 58.09, rel. 28
2θ 39.96, rel. 24
2θ 43.95, rel. 24
2θ 19.86, rel. 20
2θ 69.70, rel. 20
2θ 58.38, rel. 15

Cell and atoms:
```
AgSn2Pd4Au2
1.0
-3.1613 3.1613 4.5126
3.1613 -3.1613 4.5126
3.1613 3.1613 -4.5126
Ag Sn Pd Au
1 2 4 2
Direct
0.0000 0.0000 0.0000
0.2500 0.7500 0.5000
0.7500 0.2500 0.5000
0.2838 0.2838 0.5676
0.2838 0.7162 0.0000
0.7162 0.2838 0.0000
0.7162 0.7162 0.4324
0.2829 0.2829 0.0000
0.7171 0.7171 0.0000
```

---

No. 5
TbAgPdAu: simulated X-ray diffraction stick pattern (Cu Kα (λ = 1.5418 Å)), based on a GGA-PBE-relaxed structure.
Intensities are scaled so that the largest is 100.

The 8 most intense peaks (2θ from 15° to 90°), in order of falling intensity:
2θ 36.51, rel. 100
2θ 42.40, rel. 49
2θ 73.70, rel. 38
2θ 61.52, rel. 32
2θ 77.57, rel. 11
2θ 23.33, rel. 9
2θ 48.94, rel. 3
2θ 38.06, rel. 3

Cell and atoms:
```
TbAgPdAu
1.0
-2.1322 2.1322 4.2607
2.1322 -2.1322 4.2607
2.1322 2.1322 -4.2607
Tb Ag Pd Au
1 1 1 1
Direct
0.0000 0.0000 0.0000
0.5000 0.5000 0.0000
0.7500 0.2500 0.5000
0.2500 0.7500 0.5000
```

---

No. 6
Pm3Ag4Au4: simulated X-ray diffraction stick pattern (Cu Kα (λ = 1.5418 Å)), based on a GGA-PBE-relaxed structure.
Intensities are scaled so that the largest is 100.

The 8 most intense peaks (2θ from 15° to 90°), in order of falling intensity:
2θ 33.99, rel. 100
2θ 38.13, rel. 93
2θ 32.65, rel. 51
2θ 39.05, rel. 51
2θ 32.36, rel. 30
2θ 51.79, rel. 28
2θ 51.45, rel. 23
2θ 66.43, rel. 21

Cell and atoms:
```
Pm3Ag4Au4
1.0
3.5525 0.0000 0.0000
-0.0005 4.6129 0.0000
-1.7459 -2.3049 15.1073
Pm Ag Au
3 4 4
Direct
0.0000 0.0000 0.0000
0.1423 0.6412 0.2836
0.8577 0.3588 0.7164
0.2598 0.2600 0.5196
0.4053 0.9061 0.8114
0.5947 0.0939 0.1886
0.7402 0.7400 0.4804
0.3142 0.8160 0.6305
0.4538 0.4541 0.9073
0.5462 0.5459 0.0927
0.6858 0.1840 0.3695
```

---

No. 7
Pm2AgAu3: simulated X-ray diffraction stick pattern (Cu Kα (λ = 1.5418 Å)), based on a GGA-PBE-relaxed structure.
Intensities are scaled so that the largest is 100.

The 8 most intense peaks (2θ from 15° to 90°), in order of falling intensity:
2θ 33.39, rel. 100
2θ 37.76, rel. 57
2θ 65.84, rel. 34
2θ 37.61, rel. 29
2θ 51.19, rel. 20
2θ 65.42, rel. 19
2θ 25.24, rel. 14
2θ 51.82, rel. 12

Cell and atoms:
```
Pm2AgAu3
1.0
0.0000 4.7832 8.2434
3.5283 0.0000 8.2434
3.5283 4.7832 0.0000
Pm Ag Au
4 2 6
Direct
0.2491 0.7509 0.7509
0.2500 0.2500 0.2500
0.7500 0.7500 0.7500
0.7509 0.2491 0.2491
0.3333 0.3333 0.6667
0.6667 0.6667 0.3333
0.1672 0.1672 0.8328
0.1681 0.6636 0.3364
0.3364 0.8319 0.1681
0.6636 0.1681 0.8319
0.8319 0.3364 0.6636
0.8328 0.8328 0.1672
```

---

No. 8
Pm6AgAu5: simulated X-ray diffraction stick pattern (Cu Kα (λ = 1.5418 Å)), based on a GGA-PBE-relaxed structure.
Intensities are scaled so that the largest is 100.

The 8 most intense peaks (2θ from 15° to 90°), in order of falling intensity:
2θ 34.30, rel. 100
2θ 61.42, rel. 37
2θ 49.29, rel. 18
2θ 82.47, rel. 11
2θ 72.26, rel. 9
2θ 82.54, rel. 5
2θ 72.34, rel. 2
2θ 24.07, rel. 1

Cell and atoms:
```
Pm6AgAu5
1.0
4.5273 -7.8454 0.0000
4.5273 7.8454 0.0000
-3.0116 0.0000 4.2701
Pm Ag Au
6 1 5
Direct
0.0795 0.4164 0.7477
0.2453 0.2453 0.2451
0.4164 0.0795 0.7477
0.5836 0.9205 0.2523
0.7547 0.7547 0.7549
0.9205 0.5836 0.2523
0.5000 0.5000 0.0000
0.0000 0.0000 0.5000
0.1680 0.8320 0.0000
0.3410 0.6590 0.5000
0.6590 0.3410 0.5000
0.8320 0.1680 0.0000
```